Record 1
The following is a calculated powder diffractogram of CeEr2Th. It was derived from the GGA-PBE geometry in Alexandria, using Cu Kα.
Intensities are scaled so that the largest is 100.

The 6 most intense peaks (5 to 70 degrees two-theta), sorted by position:
| 2theta | I/Imax |
| --- | --- |
| 29.85 | 26.8 |
| 31.08 | 52.4 |
| 32.18 | 100.0 |
| 34.67 | 78.1 |
| 52.12 | 37.7 |
| 61.94 | 47.6 |

a = 11.688 Å, b = 11.688 Å, c = 11.688 Å
α = 17.27°, β = 17.27°, γ = 17.27°
Sites, in units of the cell vectors:
Ce1 0.000 0.000 0.000
Er1 0.415 0.415 0.415
Er2 0.585 0.585 0.585
Th1 0.834 0.834 0.834


Record 2
The following is a calculated powder diffractogram of Er3Ni7Ge2. It was derived from the GGA-PBE geometry in Alexandria, using Cu Kα.
Intensities are scaled so that the largest is 100.

The 6 most intense peaks (5 to 70 degrees two-theta), sorted by position:
| 2theta | I/Imax |
| --- | --- |
| 29.10 | 42.5 |
| 33.40 | 46.8 |
| 39.47 | 100.0 |
| 45.08 | 50.8 |
| 47.96 | 60.4 |
| 67.93 | 29.6 |

a = 13.317 Å, b = 13.317 Å, c = 13.317 Å
α = 163.62°, β = 163.62°, γ = 23.24°
Sites, in units of the cell vectors:
Er1 0.000 0.000 0.000
Er2 0.176 0.176 0.000
Er3 0.824 0.824 0.000
Ni1 0.076 0.576 0.500
Ni2 0.279 0.279 0.000
Ni3 0.424 0.924 0.500
Ni4 0.500 0.500 0.000
Ni5 0.576 0.076 0.500
Ni6 0.721 0.721 0.000
Ni7 0.924 0.424 0.500
Ge1 0.371 0.371 0.000
Ge2 0.629 0.629 0.000


Record 3
The following is a calculated powder diffractogram of Tb2Zn17. It was derived from the GGA-PBE geometry in Alexandria, using Cu Kα.
Intensities are scaled so that the largest is 100.

The 6 most intense peaks (5 to 70 degrees two-theta), sorted by position:
| 2theta | I/Imax |
| --- | --- |
| 34.63 | 39.5 |
| 38.51 | 37.8 |
| 40.21 | 59.1 |
| 40.43 | 100.0 |
| 41.11 | 32.5 |
| 45.41 | 28.0 |

a = 8.972 Å, b = 8.972 Å, c = 8.782 Å
α = 90.00°, β = 90.00°, γ = 120.00°
Sites, in units of the cell vectors:
Tb1 0.000 0.000 0.250
Tb2 0.000 0.000 0.750
Tb3 0.333 0.667 0.250
Tb4 0.667 0.333 0.750
Zn1 0.000 0.500 0.000
Zn2 0.000 0.500 0.500
Zn3 0.038 0.367 0.750
Zn4 0.038 0.671 0.750
Zn5 0.162 0.323 0.021
Zn6 0.162 0.323 0.479
Zn7 0.162 0.838 0.021
Zn8 0.162 0.838 0.479
Zn9 0.323 0.162 0.521
Zn10 0.323 0.162 0.979
Zn11 0.329 0.367 0.750
Zn12 0.329 0.962 0.750
Zn13 0.333 0.667 0.600
Zn14 0.333 0.667 0.900
Zn15 0.367 0.038 0.250
Zn16 0.367 0.329 0.250
Zn17 0.500 0.000 0.000
Zn18 0.500 0.000 0.500
Zn19 0.500 0.500 0.000
Zn20 0.500 0.500 0.500
Zn21 0.633 0.671 0.750
Zn22 0.633 0.962 0.750
Zn23 0.667 0.333 0.100
Zn24 0.667 0.333 0.400
Zn25 0.671 0.038 0.250
Zn26 0.671 0.633 0.250
Zn27 0.677 0.838 0.021
Zn28 0.677 0.838 0.479
Zn29 0.838 0.162 0.521
Zn30 0.838 0.162 0.979
Zn31 0.838 0.677 0.521
Zn32 0.838 0.677 0.979
Zn33 0.962 0.329 0.250
Zn34 0.962 0.633 0.250


Number 3 is which compound?
Tb2Zn17